# CsGa2Ni
Theoretical powder X-ray diffraction pattern, Cu Kα, 1.54184 Å. Input: a cell relaxed with PBE.
Lines closer than 0.1° are merged.

Largest 6 diffraction maxima, in order of rising 2θ, 2θ = 10–90°:
Position (°2θ)	I_rel	(hkl)
24.14	100	1 1 2
25.41	44	2 0 0
29.62	44	2 1 1
30.21	32	2 0 2
44.02	39	3 1 2
49.44	43	2 2 4

Structural model:
Lattice parameters (Å, degrees): 7.0104 7.0104 11.0310 90.00 90.00 90.00
Space group I4_1/amd (No. 141, origin choice 2)
Unique sites:
Cs (0.0000, 0.2500, 0.3750)
Ga (0.0000, 0.0000, 0.0000)
Ni (0.0000, 0.2500, 0.8750)